(1)
This entry pairs a crystal structure of Fe2Co4Pt5 with its calculated XRD peak list. Radiation: Cu Ka. Structure: a cell relaxed with PBE.
Neutral-atom scattering factors, no anomalous dispersion.

The 10 most intense peaks (10° ≤ 2θ ≤ 80°), by angle:
d_spacing	Position (°2θ)	Rel. int.	(hkl)
3.976	22.36	59	0 0 1
2.893	30.91	22	1 4 0
2.758	32.46	20	2 1 0
2.432	36.96	26	1 5 0
2.339	38.49	54	1 4 1
2.266	39.77	65	2 1 1
2.176	41.50	47	2 2 1
2.087	43.35	20	1 6 0
2.075	43.62	100	1 5 1
1.988	45.63	47	0 0 2

Structure:
Unit cell a=5.635 b=13.482 c=3.976 alpha=90.00 beta=90.00 gamma=90.00
Space group Pbam (No. 55)
Unique sites:
1 Fe 0.015 0.210 0.000 [4 per cell]
2 Co 0.110 0.380 0.000 [4 per cell]
3 Co 0.204 0.047 0.000 [4 per cell]
4 Pt 0.000 0.500 0.500 [2 per cell]
5 Pt 0.088 0.905 0.500 [4 per cell]
6 Pt 0.163 0.693 0.500 [4 per cell]

***

(2)
This entry pairs a crystal structure of Fe4Co3Pt with its calculated XRD peak list. Radiation: Cu Ka. Structure: a cell relaxed with PBE.
Neutral-atom scattering factors, no anomalous dispersion.

The 10 most intense peaks (10° ≤ 2θ ≤ 80°), by angle:
d_spacing	Position (°2θ)	Rel. int.	(hkl)
6.324	14.00	11	0 0 1
3.935	22.60	12	1 0 0
3.341	26.68	16	1 0 1
2.547	35.24	11	1 1 1
2.465	36.45	7	1 0 2
2.089	43.32	100	1 1 2
1.967	46.14	42	2 0 0
1.581	58.37	9	0 0 4
1.391	67.30	13	2 2 0
1.232	77.45	16	2 0 4

Structure:
Unit cell a=3.935 b=3.935 c=6.324 alpha=90.00 beta=90.00 gamma=90.00
Space group P4/mmm (No. 123)
Unique sites:
1 Fe 0.000 0.500 0.234 [4 per cell]
2 Co 0.000 0.000 0.000 [1 per cell]
3 Co 0.000 0.000 0.500 [1 per cell]
4 Co 0.500 0.500 0.000 [1 per cell]
5 Pt 0.500 0.500 0.500 [1 per cell]

***

(3)
This entry pairs a crystal structure of FeCoPtRh with its calculated XRD peak list. Radiation: Cu Ka. Structure: a cell relaxed with PBE.
Neutral-atom scattering factors, no anomalous dispersion.

The 10 most intense peaks (10° ≤ 2θ ≤ 80°), by angle:
d_spacing	Position (°2θ)	Rel. int.	(hkl)
3.696	24.08	18	0 0 2
3.390	26.29	13	1 0 1
2.697	33.22	16	1 1 0
2.179	41.44	100	1 1 2
1.907	47.68	33	2 0 0
1.848	49.31	15	0 0 4
1.695	54.11	9	2 0 2
1.525	60.75	6	1 1 4
1.349	69.73	10	2 2 0
1.327	71.02	20	2 0 4

Structure:
Unit cell a=3.815 b=3.815 c=7.392 alpha=90.00 beta=90.00 gamma=90.00
Space group I-4m2 (No. 119)
Unique sites:
1 Fe 0.000 0.000 0.000 [2 per cell]
2 Co 0.000 0.000 0.500 [2 per cell]
3 Pt 0.000 0.500 0.750 [2 per cell]
4 Rh 0.000 0.500 0.250 [2 per cell]

***

(4)
This entry pairs a crystal structure of Fe3CoRh3 with its calculated XRD peak list. Radiation: Cu Ka. Structure: a cell relaxed with PBE.
Neutral-atom scattering factors, no anomalous dispersion.

The 10 most intense peaks (10° ≤ 2θ ≤ 80°), by angle:
d_spacing	Position (°2θ)	Rel. int.	(hkl)
2.955	30.25	30	2 1 1
2.559	35.07	25	2 2 0
2.289	39.37	100	3 0 1
2.182	41.37	88	3 1 1
2.089	43.30	18	2 2 2
2.007	45.17	47	3 2 0
1.934	46.97	95	3 1 2
1.579	58.43	17	4 2 1
1.477	62.91	17	4 2 2
1.419	65.79	15	5 1 0

Structure:
Unit cell a=7.238 b=7.238 c=7.238 alpha=90.00 beta=90.00 gamma=90.00
Space group P2_13 (No. 198)
Unique sites:
1 Fe 0.052 0.304 0.855 [12 per cell]
2 Co 0.119 0.619 0.881 [4 per cell]
3 Rh 0.033 0.467 0.533 [4 per cell]
4 Rh 0.141 0.859 0.359 [4 per cell]
5 Rh 0.186 0.186 0.186 [4 per cell]

***

(5)
This entry pairs a crystal structure of Fe6Co2Rh with its calculated XRD peak list. Radiation: Cu Ka. Structure: a cell relaxed with PBE.
Neutral-atom scattering factors, no anomalous dispersion.

The 10 most intense peaks (10° ≤ 2θ ≤ 80°), by angle:
d_spacing	Position (°2θ)	Rel. int.	(hkl)
5.286	16.77	22	1 1 0
2.235	40.35	59	3 1 0
2.197	41.08	57	2 2 2
2.123	42.58	100	1 3 2
2.106	42.94	63	1 2 3
2.036	44.50	79	2 1 3
1.954	46.47	46	3 2 1
1.888	48.21	27	1 4 1
1.852	49.20	22	1 1 4
1.602	57.54	20	4 2 0

Structure:
Unit cell a=6.978 b=8.096 c=7.909 alpha=90.00 beta=90.00 gamma=90.00
Space group Ibam (No. 72)
Unique sites:
1 Fe 0.146 0.151 0.174 [16 per cell]
2 Fe 0.225 0.090 0.500 [8 per cell]
3 Co 0.065 0.328 0.500 [8 per cell]
4 Rh 0.000 0.500 0.250 [4 per cell]

***

(6)
This entry pairs a crystal structure of Fe5CoRh2 with its calculated XRD peak list. Radiation: Cu Ka. Structure: a cell relaxed with PBE.
Neutral-atom scattering factors, no anomalous dispersion.

The 10 most intense peaks (10° ≤ 2θ ≤ 80°), by angle:
d_spacing	Position (°2θ)	Rel. int.	(hkl)
5.893	15.03	5	0 0 2
2.946	30.34	2	0 0 4
2.929	30.52	4	1 1 0
2.623	34.19	8	1 1 2
2.077	43.57	100	1 1 4
2.071	43.71	50	2 0 0
1.473	63.11	7	0 0 8
1.464	63.53	15	2 2 0
1.425	65.49	2	2 0 6
1.200	79.91	14	2 0 8

Structure:
Unit cell a=4.142 b=4.142 c=11.785 alpha=90.00 beta=90.00 gamma=90.00
Space group I4/mmm (No. 139)
Unique sites:
1 Fe 0.000 0.000 0.000 [2 per cell]
2 Fe 0.000 0.500 0.117 [8 per cell]
3 Co 0.000 0.000 0.500 [2 per cell]
4 Rh 0.000 0.000 0.251 [4 per cell]

***

(7)
This entry pairs a crystal structure of Fe2CoRh9 with its calculated XRD peak list. Radiation: Cu Ka. Structure: a cell relaxed with PBE.
Neutral-atom scattering factors, no anomalous dispersion.

The 8 most intense peaks (10° ≤ 2θ ≤ 80°), by angle:
d_spacing	Position (°2θ)	Rel. int.	(hkl)
3.803	23.39	5	1 0 0
2.689	33.32	4	1 1 0
2.196	41.11	100	1 1 3
1.902	47.83	48	2 0 0
1.701	53.90	2	2 1 0
1.553	59.54	2	2 1 3
1.345	69.96	30	2 2 0
1.268	74.88	1	2 1 6

Structure:
Unit cell a=3.802 b=3.802 c=11.420 alpha=90.00 beta=90.00 gamma=90.00
Space group P4/mmm (No. 123)
Unique sites:
1 Fe 0.000 0.000 0.166 [2 per cell]
2 Co 0.000 0.000 0.500 [1 per cell]
3 Rh 0.000 0.500 0.000 [2 per cell]
4 Rh 0.000 0.500 0.335 [4 per cell]
5 Rh 0.500 0.500 0.167 [2 per cell]
6 Rh 0.500 0.500 0.500 [1 per cell]

***

(8)
This entry pairs a crystal structure of FeCo2Ru with its calculated XRD peak list. Radiation: Cu Ka. Structure: a cell relaxed with PBE.
Neutral-atom scattering factors, no anomalous dispersion.

The 10 most intense peaks (10° ≤ 2θ ≤ 80°), by angle:
d_spacing	Position (°2θ)	Rel. int.	(hkl)
5.142	17.25	7	0 0 1
3.540	25.16	5	0 1 0
2.916	30.66	8	0 1 1
2.089	43.31	100	1 1 0
2.080	43.51	98	0 1 2
1.824	50.00	64	1 0 2
1.770	51.65	29	0 2 0
1.294	73.13	10	2 0 0
1.285	73.70	9	0 0 4
1.270	74.74	35	1 2 2

Structure:
Unit cell a=2.588 b=3.540 c=5.142 alpha=90.00 beta=90.00 gamma=90.00
Space group Pmm2 (No. 25)
Unique sites:
1 Fe 0.000 0.000 0.000 [1 per cell]
2 Co 0.000 0.000 0.523 [1 per cell]
3 Co 0.500 0.500 0.757 [1 per cell]
4 Ru 0.500 0.500 0.264 [1 per cell]